Structure and computed XRD peak list of Ca7TlN4 (a PBE-relaxed structure; a wavelength of 1.5418 Å).
Kinematic intensities with the Lorentz-polarization factor, no thermal factor.

Crystal structure
```
Ca7TlN4
1.0
11.6993 0.0000 0.0000
0.0000 12.0824 0.0000
0.0000 0.0000 3.6311
Ca Tl N
14 2 8
direct
0.0000 0.0000 0.0006
0.0238 0.2331 0.5005
0.2324 0.8256 0.0003
0.2327 0.0684 0.5003
0.2673 0.5684 0.4997
0.2676 0.3256 0.9997
0.4762 0.7331 0.4995
0.5000 0.5000 0.9994
0.5238 0.2669 0.4995
0.7324 0.6744 0.9997
0.7327 0.4316 0.4997
0.7673 0.9316 0.5003
0.7676 0.1744 0.0003
0.9762 0.7669 0.5005
0.0000 0.5000 0.0025
0.5000 0.0000 0.9975
0.1283 0.8969 0.5004
0.1427 0.1663 0.0005
0.3573 0.6663 0.9995
0.3717 0.3969 0.4996
0.6283 0.6031 0.4996
0.6427 0.3337 0.9995
0.8573 0.8337 0.0005
0.8717 0.1031 0.5004
```

The 10 most intense peaks (5 to 70 degrees two-theta), by angle:
d = 8.405 Å, 10.5 deg, rel. 36; d = 6.041 Å, 14.7 deg, rel. 22; d = 4.202 Å, 21.1 deg, rel. 20; d = 3.808 Å, 23.4 deg, rel. 29; d = 3.711 Å, 24.0 deg, rel. 28; d = 3.333 Å, 26.7 deg, rel. 28; d = 2.925 Å, 30.6 deg, rel. 33; d = 2.748 Å, 32.6 deg, rel. 100; d = 2.684 Å, 33.4 deg, rel. 33; d = 2.630 Å, 34.1 deg, rel. 19